LiMnPO4: computed powder diffraction line list (copper Kα), based on a crystal structure in the Materials Project, relaxed with GGA+U.
Kinematic intensities with the Lorentz-polarization factor, no thermal factor.

Most intense lines, 2θ = 10–90°, sorted by position:
- (1 0 1), 13.91 deg, I = 168
- (0 1 1), 19.32 deg, I = 1000
- (0 0 2), 20.08 deg, I = 96
- (1 1 1), 21.63 deg, I = 147
- (2 0 1), 21.83 deg, I = 140
- (2 1 0), 25.53 deg, I = 160
- (1 1 2), 27.87 deg, I = 166
- (2 0 2), 28.03 deg, I = 164
- (0 2 0), 33.32 deg, I = 145
- (0 1 3), 34.70 deg, I = 123
- (3 1 1), 35.26 deg, I = 151
- (4 1 1), 44.14 deg, I = 92

Structure:
Cell: 9.172 5.378 8.845 Å, 90.00 90.00 90.00°
Space group Pnma (No. 62)
Inequivalent atoms, fractional coordinates:
Li  0.106  0.250  0.113 [4 per cell]
Mn  0.100  0.750  0.641 [4 per cell]
P  0.249  0.750  0.968 [4 per cell]
O  0.103  0.750  0.878 [4 per cell]
O  0.121  0.250  0.355 [4 per cell]
O  0.246  0.014  0.569 [8 per cell]